Diffraction record for Er3TlCu8. The powder diffractogram is computed, not measured: it uses a GGA-PBE-relaxed structure and copper Kα.
Kinematic intensities with the Lorentz-polarization factor, no thermal factor.

Largest 10 diffraction maxima, in order of rising 2θ, 2θ from 5° to 70°:
2θ (°)  d [Å]  I/Imax
28.9  3.087  13.6
34.6  2.594  63.0
37.5  2.396  91.0
40.1  2.246  15.2
40.8  2.214  100.0
41.6  2.172  53.2
62.0  1.498  11.8
63.9  1.456  37.9
66.2  1.412  23.2
69.3  1.355  26.6

Structural model:
```
data_Er3TlCu8
_symmetry_space_group_name_H-M 'P 1'
_symmetry_Int_Tables_number 1
_symmetry_space_group_name_Hall 'P 1'
_cell_length_a 5.188
_cell_length_b 5.188
_cell_length_c 8.495
_cell_angle_alpha 90.00
_cell_angle_beta 90.00
_cell_angle_gamma 120.00
loop_
_atom_site_label
_atom_site_type_symbol
_atom_site_fract_x
_atom_site_fract_y
_atom_site_fract_z
Er1 Er 0.000 0.000 0.000
Er2 Er 0.000 0.000 0.385
Er3 Er 0.333 0.667 0.857
Tl1 Tl 0.333 0.667 0.486
Cu1 Cu 0.001 0.501 0.180
Cu2 Cu 0.333 0.167 0.690
Cu3 Cu 0.499 0.501 0.180
Cu4 Cu 0.499 0.999 0.180
Cu5 Cu 0.667 0.333 0.436
Cu6 Cu 0.667 0.333 0.937
Cu7 Cu 0.833 0.167 0.690
Cu8 Cu 0.833 0.667 0.690
```

Diffraction record for ErTmTlCu. The powder diffractogram is computed, not measured: it uses a GGA-PBE-relaxed structure and copper Kα.
Kinematic intensities with the Lorentz-polarization factor, no thermal factor.

Largest 10 diffraction maxima, in order of rising 2θ, 2θ from 5° to 70°:
2θ (°)  d [Å]  I/Imax
27.9  3.197  19.6
34.9  2.574  100.0
35.8  2.506  6.7
36.0  2.497  49.8
48.4  1.879  7.7
51.7  1.767  27.4
61.8  1.502  15.1
63.9  1.456  34.5
64.6  1.444  5.0
67.7  1.383  7.3

Structural model:
```
data_ErTmTlCu
_symmetry_space_group_name_H-M 'P 1'
_symmetry_Int_Tables_number 1
_symmetry_space_group_name_Hall 'P 1'
_cell_length_a 3.532
_cell_length_b 3.532
_cell_length_c 7.517
_cell_angle_alpha 90.00
_cell_angle_beta 90.00
_cell_angle_gamma 90.00
loop_
_atom_site_label
_atom_site_type_symbol
_atom_site_fract_x
_atom_site_fract_y
_atom_site_fract_z
Er1 Er 0.000 0.000 0.000
Tm1 Tm 0.000 0.000 0.560
Tl1 Tl 0.500 0.500 0.281
Cu1 Cu 0.500 0.500 0.777
```

Diffraction record for Er5TmCu6. The powder diffractogram is computed, not measured: it uses a GGA-PBE-relaxed structure and copper Kα.
Kinematic intensities with the Lorentz-polarization factor, no thermal factor.

Largest 10 diffraction maxima, in order of rising 2θ, 2θ from 5° to 70°:
2θ (°)  d [Å]  I/Imax
25.9  3.444  21.2
26.2  3.407  10.3
36.9  2.435  50.8
37.1  2.422  100.0
45.8  1.981  9.5
53.2  1.722  17.5
53.8  1.704  8.5
60.1  1.540  4.5
66.6  1.403  35.0
67.0  1.396  17.2

Structural model:
```
data_Er5TmCu6
_symmetry_space_group_name_H-M 'P 1'
_symmetry_Int_Tables_number 1
_symmetry_space_group_name_Hall 'P 1'
_cell_length_a 7.699
_cell_length_b 7.699
_cell_length_c 6.814
_cell_angle_alpha 90.00
_cell_angle_beta 90.00
_cell_angle_gamma 143.12
loop_
_atom_site_label
_atom_site_type_symbol
_atom_site_fract_x
_atom_site_fract_y
_atom_site_fract_z
Er1 Er 0.000 0.000 0.000
Er2 Er 0.333 0.667 0.000
Er3 Er 0.333 0.667 0.500
Er4 Er 0.667 0.333 0.000
Er5 Er 0.667 0.333 0.500
Tm1 Tm 0.000 0.000 0.500
Cu1 Cu 0.166 0.834 0.251
Cu2 Cu 0.166 0.834 0.749
Cu3 Cu 0.500 0.500 0.251
Cu4 Cu 0.500 0.500 0.749
Cu5 Cu 0.834 0.166 0.251
Cu6 Cu 0.834 0.166 0.749
```